1.
Diffraction record for Nd2TmZn2In2. The powder XRD pattern is computed, not measured: it uses a DFT-relaxed cell (GGA-PBE, Alexandria) and Cu Kα, 1.54184 Å.
Neutral-atom scattering factors, no anomalous dispersion.

Atomic structure:
```
7
Lattice="2.355 1.360 9.366 -2.355 1.360 9.366 0.000 -2.720 9.366" Properties=species:S:1:pos:R:3 pbc="T T T"
Nd 0.000 0.000 3.540
Nd 0.000 0.000 24.557
Tm 0.000 0.000 0.000
Zn 0.000 0.000 10.945
Zn 0.000 0.000 17.153
In 0.000 0.000 7.551
In 0.000 0.000 20.546
```

Most intense lines, 5° ≤ 2θ ≤ 70°, low angle first:
2θ (°), d (Å), Rel. int.
22.02, 4.037, 32
31.26, 2.861, 70
33.67, 2.662, 100
38.21, 2.355, 100
50.17, 1.818, 19
51.83, 1.764, 29
63.45, 1.466, 31
64.77, 1.439, 17
66.19, 1.412, 28
69.07, 1.360, 17

***

2.
Diffraction record for Nd4Y2In. The powder XRD pattern is computed, not measured: it uses a DFT-relaxed cell (GGA-PBE, Alexandria) and Cu Kα, 1.54184 Å.
Neutral-atom scattering factors, no anomalous dispersion.

Atomic structure:
```
7
Lattice="3.130 -6.234 0.000 3.130 6.234 0.000 0.000 0.000 6.145" Properties=species:S:1:pos:R:3 pbc="T T T"
Nd 3.130 4.598 0.000
Nd 3.130 2.125 3.072
Nd 3.130 -2.125 3.072
Nd 3.130 -4.598 0.000
Y 3.130 1.498 0.000
Y 3.130 -1.498 0.000
In 0.000 0.000 3.072
```

Most intense lines, 5° ≤ 2θ ≤ 70°, low angle first:
2θ (°), d (Å), Rel. int.
25.73, 3.462, 24
28.52, 3.130, 80
28.64, 3.117, 23
29.06, 3.072, 76
29.62, 3.016, 100
32.20, 2.780, 32
41.19, 2.192, 76
43.55, 2.078, 34
51.20, 1.784, 22
67.99, 1.379, 26